For K2YSbO7, a GGA-PBE-relaxed structure gives the computed X-ray diffraction stick pattern in this record (CuKα).
Neutral-atom scattering factors, no anomalous dispersion.

The 6 most intense peaks (2θ from 10° to 90°), low angle first:
| 2theta | d (Å) | I_rel |
| --- | --- | --- |
| 15.28 | 5.798 | 47.9 |
| 21.75 | 4.086 | 38.2 |
| 26.32 | 3.387 | 100.0 |
| 27.06 | 3.295 | 89.0 |
| 30.84 | 2.899 | 43.9 |
| 44.34 | 2.043 | 59.2 |

Structure:
Unit cell a=8.1759 b=8.1759 c=8.1759 alpha=121.13 beta=90.43 gamma=118.39
Atoms (fractional coordinates):
K 0.0000 0.0000 0.0000
K 0.5000 0.0000 0.0000
K 0.5000 0.0000 0.5000
K 0.5000 0.5000 0.5000
Y 0.0000 0.0000 0.5000
Y 0.0000 0.5000 0.0000
Sb 0.0000 0.5000 0.5000
Sb 0.5000 0.5000 0.0000
O 0.0382 0.2519 0.4335
O 0.0382 0.6047 0.7863
O 0.1173 0.8673 0.2500
O 0.2905 0.7029 0.5876
O 0.3184 0.2519 0.7137
O 0.3184 0.6047 0.0665
O 0.3848 0.2971 0.0876
O 0.6152 0.7029 0.9124
O 0.6816 0.3953 0.9335
O 0.6816 0.7481 0.2863
O 0.7095 0.2971 0.4124
O 0.8827 0.1327 0.7500
O 0.9618 0.3953 0.2137
O 0.9618 0.7481 0.5665



For KSc5O8, a GGA-PBE-relaxed structure gives the computed X-ray diffraction stick pattern in this record (CuKα).
Neutral-atom scattering factors, no anomalous dispersion.

The 6 most intense peaks (2θ from 10° to 90°), low angle first:
| 2theta | d (Å) | I_rel |
| --- | --- | --- |
| 11.91 | 7.432 | 100.0 |
| 22.78 | 3.903 | 75.5 |
| 29.46 | 3.032 | 71.9 |
| 33.46 | 2.678 | 63.8 |
| 36.92 | 2.434 | 75.0 |
| 59.31 | 1.558 | 70.2 |

Structure:
Unit cell a=8.2004 b=8.2004 c=7.7446 alpha=106.00 beta=106.00 gamma=22.44
Atoms (fractional coordinates):
K 0.0000 0.0000 0.0000
Sc 0.1564 0.1564 0.4296
Sc 0.2001 0.2001 0.8325
Sc 0.5003 0.5003 0.5000
Sc 0.8005 0.8005 0.1674
Sc 0.8441 0.8441 0.5702
O 0.0820 0.0820 0.6220
O 0.2709 0.2709 0.3596
O 0.3236 0.3236 0.0242
O 0.4191 0.4191 0.6826
O 0.5815 0.5815 0.3173
O 0.6772 0.6772 0.9757
O 0.7297 0.7297 0.6402
O 0.9187 0.9187 0.3779



For K3ScSi2O7, a GGA-PBE-relaxed structure gives the computed X-ray diffraction stick pattern in this record (CuKα).
Neutral-atom scattering factors, no anomalous dispersion.

The 6 most intense peaks (2θ from 10° to 90°), low angle first:
| 2theta | d (Å) | I_rel |
| --- | --- | --- |
| 12.79 | 6.923 | 14.8 |
| 31.56 | 2.835 | 100.0 |
| 41.62 | 2.170 | 20.4 |
| 45.24 | 2.004 | 24.4 |
| 56.15 | 1.638 | 21.6 |
| 65.80 | 1.419 | 13.3 |

Structure:
Unit cell a=5.6773 b=5.6773 c=13.8457 alpha=90.00 beta=90.00 gamma=120.00
Atoms (fractional coordinates):
K 0.0000 0.0000 0.2500
K 0.0000 0.0000 0.7500
K 0.3333 0.6667 0.0919
K 0.3333 0.6667 0.4081
K 0.6667 0.3333 0.5919
K 0.6667 0.3333 0.9081
Sc 0.0000 0.0000 0.0000
Sc 0.0000 0.0000 0.5000
Si 0.3333 0.6667 0.6292
Si 0.3333 0.6667 0.8708
Si 0.6667 0.3333 0.1292
Si 0.6667 0.3333 0.3708
O 0.1750 0.3500 0.5923
O 0.1750 0.3500 0.9077
O 0.1750 0.8250 0.5923
O 0.1750 0.8250 0.9077
O 0.3333 0.6667 0.7500
O 0.3500 0.1750 0.0923
O 0.3500 0.1750 0.4077
O 0.6500 0.8250 0.5923
O 0.6500 0.8250 0.9077
O 0.6667 0.3333 0.2500
O 0.8250 0.1750 0.0923
O 0.8250 0.1750 0.4077
O 0.8250 0.6500 0.0923
O 0.8250 0.6500 0.4077